For CePaZn2O8, a structure optimized by DFT (GGA-PBE) gives the simulated X-ray diffraction stick pattern in this record (Cu Ka).
Peak positions follow from Bragg's law for the DFT cell and can differ from measured ones.

Top 10 peaks for 10° ≤ 2θ ≤ 80°, in order of rising 2θ:
2θ (°), d/Å, I (rel.)
18.01, 4.926, 54
26.17, 3.405, 100
31.20, 2.866, 98
37.34, 2.408, 24
49.43, 1.844, 72
53.84, 1.703, 16
58.41, 1.580, 20
60.82, 1.523, 15
63.55, 1.464, 20
76.09, 1.251, 15

Structure:
a b c (Å): 5.993 5.993 5.993
angles (deg): 110.75 110.75 106.95
Sites, in units of the cell vectors:
Ce 0.000 0.000 0.000
Pa 0.750 0.250 0.500
Zn 0.250 0.750 0.500
Zn 0.500 0.500 0.000
O 0.044 0.361 0.318
O 0.044 0.726 0.682
O 0.107 0.300 0.807
O 0.274 0.956 0.318
O 0.492 0.300 0.193
O 0.639 0.956 0.682
O 0.700 0.508 0.807
O 0.700 0.893 0.193

=====

For Ce8Pb4O, a structure optimized by DFT (GGA-PBE) gives the simulated X-ray diffraction stick pattern in this record (Cu Ka).
Peak positions follow from Bragg's law for the DFT cell and can differ from measured ones.

Top 10 peaks for 10° ≤ 2θ ≤ 80°, in order of rising 2θ:
2θ (°), d/Å, I (rel.)
31.58, 2.833, 100
32.45, 2.760, 20
37.30, 2.411, 17
39.80, 2.265, 15
50.26, 1.815, 12
52.25, 1.751, 11
55.68, 1.651, 11
57.33, 1.607, 12
63.72, 1.461, 14
67.14, 1.394, 12

Structure:
a b c (Å): 4.530 4.821 16.557
angles (deg): 90.00 90.00 90.00
Sites, in units of the cell vectors:
Ce 0.000 0.000 0.000
Ce 0.000 0.000 0.316
Ce 0.000 0.500 0.176
Ce 0.000 0.500 0.495
Ce 0.500 0.000 0.503
Ce 0.500 0.000 0.820
Ce 0.500 0.500 0.682
Ce 0.500 0.500 0.999
Pb 0.000 0.000 0.657
Pb 0.000 0.500 0.851
Pb 0.500 0.000 0.148
Pb 0.500 0.500 0.344
O 0.000 0.000 0.455

=====

For Sr2CePbO6, a structure optimized by DFT (GGA-PBE) gives the simulated X-ray diffraction stick pattern in this record (Cu Ka).
Peak positions follow from Bragg's law for the DFT cell and can differ from measured ones.

Top 10 peaks for 10° ≤ 2θ ≤ 80°, in order of rising 2θ:
2θ (°), d/Å, I (rel.)
20.71, 4.289, 28
29.03, 3.076, 24
29.47, 3.031, 100
29.82, 2.996, 23
42.11, 2.146, 24
42.21, 2.141, 13
51.73, 1.767, 18
52.05, 1.757, 11
52.64, 1.739, 18
52.80, 1.734, 12

Structure:
a b c (Å): 5.992 6.151 10.431
angles (deg): 90.00 124.81 90.00
Sites, in units of the cell vectors:
Sr 0.237 0.048 0.249
Sr 0.237 0.452 0.749
Sr 0.763 0.548 0.251
Sr 0.763 0.952 0.751
Ce 0.500 0.000 0.000
Ce 0.500 0.500 0.500
Pb 0.000 0.000 0.500
Pb 0.000 0.500 0.000
O 0.147 0.205 0.947
O 0.147 0.295 0.447
O 0.242 0.703 0.947
O 0.242 0.797 0.447
O 0.348 0.039 0.748
O 0.348 0.461 0.248
O 0.652 0.539 0.752
O 0.652 0.961 0.252
O 0.758 0.203 0.553
O 0.758 0.297 0.053
O 0.853 0.705 0.553
O 0.853 0.795 0.053